# K2SmTmTe4
Computed X-ray diffraction stick pattern, λ = 1.5418 Å (Cu Kα). Input: a cell relaxed with PBE.

Structure:
```
K2SmTmTe4
1.0
7.818 0.000 0.000
0.000 4.512 0.000
-2.603 0.000 8.246
K Sm Tm Te
2 1 1 4
Cartesian
0.000 0.000 0.000
3.909 2.256 0.000
-1.301 2.256 4.123
2.608 0.000 4.123
0.055 0.000 5.862
1.357 2.256 2.413
3.858 2.256 5.834
5.161 0.000 2.385
```

Peak list (8 most intense, 5° ≤ 2θ ≤ 70°, low angle first)
(hkl)  Position (°2θ)  Rel. int.
0 0 1  10.73  460
1 1 1  26.99  1000
1 1 2  34.21  189
1 1 -3  37.07  350
0 2 0  39.95  368
1 1 -4  46.59  135
2 2 -2  48.88  191
1 3 1  64.89  187